No. 1
# Y2In5Hg12
Calculated powder X-ray diffraction pattern, Cu Kα (weighted mean of Kα1 and Kα2). Input: a crystal structure in Alexandria, relaxed with PBE.

Top 10 peaks for 10° ≤ 2θ ≤ 90°, by intensity:
| d/Å | 2θ/deg | I/Imax |
| --- | --- | --- |
| 2.639 | 33.97 | 100 |
| 2.629 | 34.10 | 99 |
| 2.523 | 35.58 | 51 |
| 2.479 | 36.23 | 40 |
| 1.769 | 51.69 | 30 |
| 1.459 | 63.77 | 21 |
| 1.480 | 62.79 | 20 |
| 1.973 | 45.99 | 18 |
| 1.475 | 63.04 | 17 |
| 3.482 | 25.59 | 16 |

Crystal structure
a b c (Å): 11.3159 11.3159 5.0467
angles (deg): 102.62 102.62 51.98
Positions (direct):
Y  0.2184  0.7816  0.0000
Y  0.7816  0.2184  0.0000
In  0.0000  0.0000  0.5000
In  0.2020  0.2020  0.6995
In  0.2996  0.2996  0.2975
In  0.7004  0.7004  0.7025
In  0.7980  0.7980  0.3005
Hg  0.0704  0.5427  0.8087
Hg  0.1117  0.1117  0.1096
Hg  0.1887  0.6299  0.4111
Hg  0.3701  0.8113  0.5889
Hg  0.4185  0.4185  0.9187
Hg  0.4573  0.9296  0.1913
Hg  0.5427  0.0704  0.8087
Hg  0.5815  0.5815  0.0813
Hg  0.6299  0.1887  0.4111
Hg  0.8113  0.3701  0.5889
Hg  0.8883  0.8883  0.8904
Hg  0.9296  0.4573  0.1913



No. 2
# Cs3NaGe2Br9
Calculated powder X-ray diffraction pattern, Cu Kα (weighted mean of Kα1 and Kα2). Input: a crystal structure in Alexandria, relaxed with PBE.

Top 10 peaks for 10° ≤ 2θ ≤ 90°, by intensity:
| d/Å | 2θ/deg | I/Imax |
| --- | --- | --- |
| 3.240 | 27.53 | 100 |
| 2.806 | 31.89 | 95 |
| 1.984 | 45.72 | 68 |
| 1.692 | 54.20 | 42 |
| 3.969 | 22.40 | 29 |
| 1.255 | 75.80 | 29 |
| 1.620 | 56.82 | 23 |
| 1.288 | 73.56 | 17 |
| 1.146 | 84.56 | 16 |
| 2.291 | 39.32 | 14 |

Crystal structure
a b c (Å): 7.9404 7.9404 9.7140
angles (deg): 90.00 90.00 120.00
Positions (direct):
Cs  0.0000  0.0000  0.0000
Cs  0.3333  0.6667  0.6674
Cs  0.6667  0.3333  0.3326
Na  0.0000  0.0000  0.5000
Ge  0.3333  0.6667  0.1678
Ge  0.6667  0.3333  0.8322
Br  0.0000  0.5000  0.0000
Br  0.1754  0.3508  0.3238
Br  0.1754  0.8246  0.3238
Br  0.3508  0.1754  0.6762
Br  0.5000  0.0000  0.0000
Br  0.5000  0.5000  0.0000
Br  0.6492  0.8246  0.3238
Br  0.8246  0.1754  0.6762
Br  0.8246  0.6492  0.6762



No. 3
# SmNp4S7
Calculated powder X-ray diffraction pattern, Cu Kα (weighted mean of Kα1 and Kα2). Input: a crystal structure in Alexandria, relaxed with PBE.

Top 10 peaks for 10° ≤ 2θ ≤ 90°, by intensity:
| d/Å | 2θ/deg | I/Imax |
| --- | --- | --- |
| 3.724 | 23.89 | 100 |
| 3.626 | 24.55 | 86 |
| 2.732 | 32.78 | 57 |
| 3.250 | 27.44 | 49 |
| 2.651 | 33.82 | 47 |
| 3.440 | 25.90 | 38 |
| 2.150 | 42.03 | 34 |
| 2.881 | 31.05 | 32 |
| 3.198 | 27.90 | 32 |
| 1.939 | 46.85 | 27 |

Crystal structure
a b c (Å): 6.7865 6.7865 11.5150
angles (deg): 104.12 104.12 33.21
Positions (direct):
Sm  0.0000  0.0000  0.0000
Np  0.1176  0.1176  0.4290
Np  0.2314  0.2314  0.8427
Np  0.4163  0.4163  0.6082
Np  0.8163  0.8163  0.2371
S  0.0710  0.0710  0.6409
S  0.1593  0.1593  0.2109
S  0.3758  0.3758  0.0752
S  0.4618  0.4618  0.3727
S  0.6199  0.6199  0.9231
S  0.7727  0.7727  0.4748
S  0.8491  0.8491  0.7683



No. 4
# Dy3Ho5Tm2
Calculated powder X-ray diffraction pattern, Cu Kα (weighted mean of Kα1 and Kα2). Input: a crystal structure in Alexandria, relaxed with PBE.

Top 10 peaks for 10° ≤ 2θ ≤ 90°, by intensity:
| d/Å | 2θ/deg | I/Imax |
| --- | --- | --- |
| 2.904 | 30.78 | 100 |
| 2.897 | 30.87 | 34 |
| 2.642 | 33.93 | 32 |
| 2.327 | 38.70 | 19 |
| 2.746 | 32.61 | 16 |
| 2.456 | 36.59 | 15 |
| 1.569 | 58.88 | 14 |
| 1.831 | 49.81 | 13 |
| 1.942 | 46.78 | 13 |
| 1.390 | 67.35 | 13 |

Crystal structure
a b c (Å): 9.3949 9.3949 9.3721
angles (deg): 108.35 108.35 111.56
Positions (direct):
Dy  0.0181  0.2660  0.0458
Dy  0.2319  0.7681  0.7500
Dy  0.2660  0.0181  0.5458
Dy  0.7340  0.9819  0.4542
Dy  0.7681  0.2319  0.2500
Dy  0.9819  0.7340  0.9542
Ho  0.0261  0.9739  0.7500
Ho  0.1496  0.3795  0.7763
Ho  0.2719  0.7281  0.2500
Ho  0.3795  0.1496  0.2763
Ho  0.4699  0.5301  0.2500
Ho  0.5301  0.4699  0.7500
Ho  0.6205  0.8504  0.7237
Ho  0.7281  0.2719  0.7500
Ho  0.8504  0.6205  0.2237
Ho  0.9739  0.0261  0.2500
Tm  0.2251  0.4640  0.4521
Tm  0.4640  0.2251  0.9521
Tm  0.5360  0.7749  0.0479
Tm  0.7749  0.5360  0.5479